Computed X-ray diffraction stick pattern
Compound: Zr2Ti3Pb5O15
Radiation: CuKα
Structure: a cell relaxed with PBE
Lines closer than 0.1° are merged.

Peak list (10 most intense, 10 to 90 degrees two-theta, most intense first)
- 2θ = 29.6°, d = 3.014 Å, intensity 100
- 2θ = 29.8°, d = 2.999 Å, intensity 95
- 2θ = 31.9°, d = 2.806 Å, intensity 78
- 2θ = 51.3°, d = 1.780 Å, intensity 50
- 2θ = 37.5°, d = 2.397 Å, intensity 45
- 2θ = 19.3°, d = 4.606 Å, intensity 40
- 2θ = 45.5°, d = 1.993 Å, intensity 38
- 2θ = 55.3°, d = 1.660 Å, intensity 34
- 2θ = 55.6°, d = 1.652 Å, intensity 30
- 2θ = 39.1°, d = 2.303 Å, intensity 22

Structural model:
abc: 3.986 19.759 4.606
angles: 90.00 90.00 90.00
Positions (direct):
Zr (0.000, 0.105, 0.000)
Zr (0.000, 0.895, 0.000)
Ti (0.000, 0.307, 0.999)
Ti (0.000, 0.500, 0.999)
Ti (0.000, 0.693, 0.999)
Pb (0.500, 0.000, 0.441)
Pb (0.500, 0.209, 0.440)
Pb (0.500, 0.403, 0.440)
Pb (0.500, 0.597, 0.440)
Pb (0.500, 0.791, 0.440)
O (0.000, 0.000, 0.098)
O (0.000, 0.104, 0.575)
O (0.000, 0.211, 0.106)
O (0.000, 0.306, 0.619)
O (0.000, 0.403, 0.110)
O (0.000, 0.500, 0.619)
O (0.000, 0.597, 0.110)
O (0.000, 0.694, 0.619)
O (0.000, 0.789, 0.106)
O (0.000, 0.896, 0.575)
O (0.500, 0.105, 0.119)
O (0.500, 0.306, 0.098)
O (0.500, 0.500, 0.097)
O (0.500, 0.694, 0.098)
O (0.500, 0.895, 0.119)